No. 1
PrEr4Al: simulated X-ray powder pattern (λ = 1.5418 Å (Cu Kα)), based on DFT lattice parameters and positions (GGA-PBE).

Top 10 peaks for 2θ = 5–70°, sorted by position:
hkl 0 4 0, 25.82°, intensity 39
hkl 1 3 1, 28.87°, intensity 41
hkl 1 1 -2, 29.68°, intensity 63
hkl 3 1 -1, 31.59°, intensity 83
hkl 2 2 1, 32.93°, intensity 100
hkl 2 2 -2, 33.82°, intensity 21
hkl 2 4 -1, 34.07°, intensity 32
hkl 1 5 0, 34.22°, intensity 39
hkl 1 3 -2, 35.02°, intensity 56
hkl 4 2 -3, 54.76°, intensity 25

a b c (Å): 8.788 13.804 6.171
angles (deg): 90.00 109.01 90.00
Space group C2/c (No. 15)
Symmetry-distinct sites (fractional):
Pr (0.000, 0.098, 0.250) x4
Er (0.102, 0.318, 0.548) x8
Er (0.223, 0.113, 0.871) x8
Al (0.000, 0.499, 0.750) x4

No. 2
SiBrO: simulated X-ray powder pattern (λ = 1.5418 Å (Cu Kα)), based on DFT lattice parameters and positions (GGA-PBE).

Top 10 peaks for 2θ = 5–70°, sorted by position:
hkl 1 0 0, 14.97°, intensity 9
hkl 1 0 1, 19.84°, intensity 100
hkl 1 1 1, 29.22°, intensity 15
hkl 2 0 0, 30.20°, intensity 42
hkl 2 0 1, 32.98°, intensity 13
hkl 1 1 2, 37.21°, intensity 26
hkl 1 2 1, 42.52°, intensity 24
hkl 2 0 3, 50.56°, intensity 15
hkl 4 -3 1, 57.76°, intensity 16
hkl 2 -1 4, 60.59°, intensity 11

a b c (Å): 6.8350 6.8350 6.8336
angles (deg): 90.00 90.00 120.00
Space group P3_2 (No. 145)
Symmetry-distinct sites (fractional):
Si (0.2137, 0.4351, 0.0000) x3
Br (0.2861, 0.1480, 0.1691) x3
O (0.1989, 0.6050, 0.1633) x3

No. 3
CaInS2: simulated X-ray powder pattern (λ = 1.5418 Å (Cu Kα)), based on DFT lattice parameters and positions (GGA-PBE).

Top 10 peaks for 2θ = 5–70°, sorted by position:
hkl 0 0 1, 15.85°, intensity 19
hkl 1 0 0, 21.15°, intensity 100
hkl 1 0 1, 26.54°, intensity 50
hkl 0 0 2, 32.02°, intensity 34
hkl 1 1 0, 37.07°, intensity 68
hkl 1 0 2, 38.70°, intensity 40
hkl 2 0 0, 43.07°, intensity 15
hkl 1 1 2, 49.78°, intensity 55
hkl 2 0 2, 54.66°, intensity 14
hkl 2 1 2, 67.90°, intensity 14

a b c (Å): 4.8505 4.8505 5.5899
angles (deg): 90.00 90.00 120.00
Space group P-6m2 (No. 187)
Symmetry-distinct sites (fractional):
Ca (0.0000, 0.0000, 0.0000) x1
In (0.3333, 0.6667, 0.5000) x1
S (0.0000, 0.0000, 0.5000) x1
S (0.3333, 0.6667, 0.0000) x1

No. 4
Tb5Si4: simulated X-ray powder pattern (λ = 1.5418 Å (Cu Kα)), based on DFT lattice parameters and positions (GGA-PBE).

Top 10 peaks for 2θ = 5–70°, sorted by position:
hkl 2 1 1, 27.14°, intensity 51
hkl 2 3 0, 30.05°, intensity 52
hkl 1 3 2, 31.85°, intensity 62
hkl 2 3 1, 32.26°, intensity 100
hkl 0 4 2, 33.71°, intensity 73
hkl 2 1 2, 33.89°, intensity 47
hkl 1 4 2, 35.83°, intensity 30
hkl 1 1 3, 37.43°, intensity 34
hkl 3 0 1, 37.85°, intensity 34
hkl 3 4 3, 57.20°, intensity 44

a b c (Å): 7.494 14.662 7.726
angles (deg): 90.00 90.00 90.00
Space group Pnma (No. 62)
Symmetry-distinct sites (fractional):
Tb (0.034, 0.100, 0.184) x8
Tb (0.144, 0.750, 0.512) x4
Tb (0.185, 0.122, 0.680) x8
Si (0.018, 0.750, 0.104) x4
Si (0.142, 0.541, 0.473) x8
Si (0.240, 0.250, 0.374) x4

No. 5
ZrGaP: simulated X-ray powder pattern (λ = 1.5418 Å (Cu Kα)), based on DFT lattice parameters and positions (GGA-PBE).

Top 10 peaks for 2θ = 5–70°, sorted by position:
hkl 1 1 1, 22.12°, intensity 17
hkl 0 2 2, 28.39°, intensity 21
hkl 1 3 1, 35.87°, intensity 5
hkl 1 1 3, 36.69°, intensity 82
hkl 2 2 0, 39.84°, intensity 100
hkl 2 0 2, 40.22°, intensity 8
hkl 1 3 3, 46.70°, intensity 41
hkl 2 4 2, 57.89°, intensity 6
hkl 3 1 3, 63.02°, intensity 32
hkl 0 2 6, 67.56°, intensity 12

a b c (Å): 5.224 9.053 8.739
angles (deg): 90.00 90.00 90.00
Space group Fdd2 (No. 43)
Symmetry-distinct sites (fractional):
Zr (0.000, 0.000, 0.000) x8
Ga (0.000, 0.000, 0.351) x8
P (0.000, 0.000, 0.670) x8

No. 6
CoReIr: simulated X-ray powder pattern (λ = 1.5418 Å (Cu Kα)), based on DFT lattice parameters and positions (GGA-PBE).

Top 8 peaks for 2θ = 5–70°, sorted by position:
hkl 1 0 0, 24.62°, intensity 28
hkl 0 0 1, 33.41°, intensity 1
hkl 1 0 1, 41.94°, intensity 100
hkl 1 1 0, 43.33°, intensity 79
hkl 2 0 0, 50.47°, intensity 4
hkl 1 1 1, 55.80°, intensity 1
hkl 2 0 1, 61.89°, intensity 32
hkl 2 1 0, 68.66°, intensity 4

a b c (Å): 4.1760 4.1760 2.6818
angles (deg): 90.00 90.00 120.00
Space group P-6m2 (No. 187)
Symmetry-distinct sites (fractional):
Co (0.0000, 0.0000, 0.0000) x1
Re (0.6667, 0.3333, 0.0000) x1
Ir (0.3333, 0.6667, 0.5000) x1

No. 7
Ho4TlSe2S: simulated X-ray powder pattern (λ = 1.5418 Å (Cu Kα)), based on DFT lattice parameters and positions (GGA-PBE).

Top 10 peaks for 2θ = 5–70°, sorted by position:
hkl 0 0 2, 26.19°, intensity 9
hkl 1 1 -1, 26.96°, intensity 9
hkl 2 0 -2, 30.66°, intensity 51
hkl 1 1 1, 30.84°, intensity 100
hkl 2 0 2, 43.20°, intensity 19
hkl 1 1 -3, 44.05°, intensity 75
hkl 0 2 0, 45.15°, intensity 18
hkl 0 0 4, 53.90°, intensity 20
hkl 2 2 -2, 55.57°, intensity 19
hkl 2 2 2, 64.26°, intensity 12

a b c (Å): 7.177 4.016 7.182
angles (deg): 90.00 108.62 90.00
Space group P2/m (No. 10)
Symmetry-distinct sites (fractional):
Ho (0.236, 0.000, 0.240) x2
Ho (0.237, 0.500, 0.744) x2
Tl (0.500, 0.000, 0.000) x1
Se (0.000, 0.000, 0.500) x1
Se (0.500, 0.500, 0.500) x1
S (0.000, 0.500, 0.000) x1

No. 8
Ba2NaB2Se6: simulated X-ray powder pattern (λ = 1.5418 Å (Cu Kα)), based on DFT lattice parameters and positions (GGA-PBE).

Top 10 peaks for 2θ = 5–70°, sorted by position:
hkl 0 0 3, 10.88°, intensity 51
hkl 0 0 6, 21.86°, intensity 38
hkl 0 1 5, 23.57°, intensity 28
hkl 2 0 2, 30.90°, intensity 100
hkl 0 0 9, 33.02°, intensity 26
hkl 0 2 4, 33.48°, intensity 70
hkl 2 0 5, 35.30°, intensity 28
hkl 0 2 7, 39.81°, intensity 18
hkl 2 2 0, 53.26°, intensity 28
hkl 2 2 9, 64.12°, intensity 15

a b c (Å): 6.8792 6.8792 24.3953
angles (deg): 90.00 90.00 120.00
Space group R-3m (No. 166, hexagonal axes)
Symmetry-distinct sites (fractional):
Ba (0.0000, 0.0000, 0.2098) x6
Na (0.0000, 0.0000, 0.0000) x3
B (0.0000, 0.0000, 0.4270) x6
Se (0.0055, 0.5028, 0.2408) x18

No. 9
Tb3Nd6Y: simulated X-ray powder pattern (λ = 1.5418 Å (Cu Kα)), based on DFT lattice parameters and positions (GGA-PBE).

Top 10 peaks for 2θ = 5–70°, sorted by position:
hkl 3 3 0, 28.08°, intensity 43
hkl 2 4 1, 28.21°, intensity 47
hkl 3 1 1, 28.50°, intensity 45
hkl 1 1 2, 29.16°, intensity 35
hkl 0 6 1, 30.92°, intensity 100
hkl 3 3 1, 31.40°, intensity 64
hkl 2 2 2, 33.51°, intensity 54
hkl 3 5 0, 33.74°, intensity 27
hkl 3 9 0, 49.09°, intensity 20
hkl 6 6 1, 60.01°, intensity 32

a b c (Å): 10.930 19.405 6.464
angles (deg): 90.00 90.00 90.00
Space group Cmc2_1 (No. 36)
Symmetry-distinct sites (fractional):
Tb (0.000, 0.114, 0.000) x4
Tb (0.170, 0.384, 0.613) x8
Nd (0.000, 0.219, 0.429) x4
Nd (0.000, 0.468, 0.214) x4
Nd (0.172, 0.043, 0.534) x8
Nd (0.228, 0.211, 0.729) x8
Y (0.000, 0.311, 0.983) x4

No. 10
Mg3H5S: simulated X-ray powder pattern (λ = 1.5418 Å (Cu Kα)), based on DFT lattice parameters and positions (GGA-PBE).

Top 10 peaks for 2θ = 5–70°, sorted by position:
hkl 1 1 0, 17.51°, intensity 33
hkl 2 0 -2, 21.84°, intensity 24
hkl 1 1 1, 24.31°, intensity 30
hkl 1 1 -2, 25.02°, intensity 29
hkl 0 2 0, 28.42°, intensity 100
hkl 3 1 -1, 30.37°, intensity 42
hkl 1 1 2, 34.46°, intensity 78
hkl 5 1 -2, 47.20°, intensity 26
hkl 4 2 -3, 48.29°, intensity 24
hkl 1 3 2, 54.30°, intensity 24

a b c (Å): 10.151 6.281 8.708
angles (deg): 90.00 122.50 90.00
Space group C2/m (No. 12)
Symmetry-distinct sites (fractional):
Mg (0.000, 0.000, 0.000) x2
Mg (0.000, 0.000, 0.500) x2
Mg (0.145, 0.500, 0.187) x4
Mg (0.189, 0.500, 0.619) x4
H (0.000, 0.313, 0.500) x4
H (0.073, 0.500, 0.924) x4
H (0.164, 0.191, 0.197) x8
H (0.240, 0.000, 0.546) x4
S (0.121, 0.000, 0.826) x4

No. 11
CeMgSi2: simulated X-ray powder pattern (λ = 1.5418 Å (Cu Kα)), based on DFT lattice parameters and positions (GGA-PBE).

Top 10 peaks for 2θ = 5–70°, sorted by position:
hkl 0 0 4, 9.54°, intensity 28
hkl 1 0 1, 21.40°, intensity 23
hkl 1 0 5, 24.45°, intensity 22
hkl 1 0 7, 27.18°, intensity 38
hkl 1 1 2, 30.64°, intensity 24
hkl 1 1 6, 33.62°, intensity 100
hkl 1 0 11, 34.18°, intensity 17
hkl 1 0 13, 38.21°, intensity 35
hkl 2 0 0, 43.30°, intensity 36
hkl 2 1 13, 59.10°, intensity 20

a b c (Å): 4.179 4.179 37.074
angles (deg): 90.00 90.00 90.00
Space group I4_1/amd (No. 141, origin choice 2)
Symmetry-distinct sites (fractional):
Ce (0.000, 0.250, 0.297) x8
Mg (0.000, 0.250, 0.125) x8
Si (0.000, 0.250, 0.764) x8
Si (0.000, 0.250, 0.827) x8

No. 12
Tb6Mg5Cd: simulated X-ray powder pattern (λ = 1.5418 Å (Cu Kα)), based on DFT lattice parameters and positions (GGA-PBE).

Top 10 peaks for 2θ = 5–70°, sorted by position:
hkl 1 0 1, 23.43°, intensity 42
hkl 0 2 0, 23.56°, intensity 21
hkl 1 2 1, 33.42°, intensity 100
hkl 1 2 -2, 33.47°, intensity 50
hkl 0 2 3, 41.26°, intensity 20
hkl 2 0 2, 47.93°, intensity 18
hkl 3 0 0, 54.04°, intensity 18
hkl 1 4 1, 54.25°, intensity 9
hkl 3 2 0, 59.72°, intensity 37
hkl 0 4 3, 59.89°, intensity 19

a b c (Å): 5.367 7.554 8.489
angles (deg): 90.00 108.39 90.00
Space group P2/m (No. 10)
Symmetry-distinct sites (fractional):
Tb (0.000, 0.249, 0.000) x2
Tb (0.331, 0.251, 0.668) x4
Mg (0.172, 0.500, 0.335) x2
Mg (0.174, 0.000, 0.339) x2
Mg (0.500, 0.500, 0.000) x1
Cd (0.500, 0.000, 0.000) x1